Simulated powder XRD pattern
Compound: Li4V2Cr3Sb3O16
Radiation: a wavelength of 1.5418 Å
Structure: a structure optimized by DFT (PBE+U)
Peak positions follow from Bragg's law for the DFT cell and can differ from measured ones.

Crystal structure
Lattice parameters (Å, degrees): 6.071 6.173 9.776 90.81 90.24 118.65
Element x y z (fractional)
Li  0.000  0.000  0.000
Li  0.002  0.000  0.508
Li  0.326  0.626  0.409
Li  0.669  0.315  0.890
V  0.363  0.661  0.987
V  0.681  0.297  0.498
Cr  0.175  0.321  0.724
Cr  0.671  0.814  0.721
Cr  0.838  0.145  0.223
Sb  0.176  0.815  0.720
Sb  0.350  0.150  0.221
Sb  0.844  0.642  0.219
O  0.010  0.988  0.818
O  0.025  0.003  0.323
O  0.052  0.517  0.847
O  0.177  0.306  0.113
O  0.192  0.844  0.096
O  0.326  0.133  0.612
O  0.337  0.644  0.615
O  0.487  0.946  0.842
O  0.490  0.513  0.844
O  0.503  0.428  0.362
O  0.520  0.004  0.340
O  0.656  0.278  0.103
O  0.684  0.832  0.099
O  0.840  0.142  0.616
O  0.856  0.667  0.607
O  0.958  0.420  0.364

The 12 most intense peaks (2θ = 10–90°), in order of rising 2θ:
h k l	Position (°2θ)	I_rel
0 0 2	18.15	100
0 1 -1	18.58	17
0 1 1	18.87	40
1 -1 1	19.09	20
-1 1 1	19.19	27
1 -1 2	24.78	18
0 2 -1	34.18	23
0 2 1	34.55	23
2 0 -1	34.78	22
2 0 1	35.03	16
2 0 -2	38.28	16
2 0 3	44.15	23